This entry pairs a crystal structure of Sr2Ag3Pb5 with its simulated powder diffractogram. Radiation: λ = 1.5418 Å (Cu Kα). Structure: a PBE-relaxed structure.
Neutral-atom scattering factors, no anomalous dispersion.

a = 4.8448 Å, b = 29.2478 Å, c = 8.0894 Å
α = 90.00°, β = 90.00°, γ = 90.00°
Space group Cmc2_1 (No. 36)
One atom of each set of equivalent atoms:
Sr  0.0000  0.0223  0.0000 (multiplicity 4)
Sr  0.0000  0.3256  0.0243 (multiplicity 4)
Ag  0.0000  0.1089  0.7365 (multiplicity 4)
Ag  0.0000  0.2706  0.5142 (multiplicity 4)
Ag  0.0000  0.4557  0.7901 (multiplicity 4)
Pb  0.0000  0.0969  0.3610 (multiplicity 4)
Pb  0.0000  0.2048  0.2203 (multiplicity 4)
Pb  0.0000  0.2079  0.8129 (multiplicity 4)
Pb  0.0000  0.3763  0.5088 (multiplicity 4)
Pb  0.0000  0.4474  0.1726 (multiplicity 4)

Largest 10 diffraction maxima, low angle first, 2θ = 5–70°:
| hkl | 2θ (°) | d (Å) | Rel. int. |
| --- | --- | --- | --- |
| 1 1 2 | 28.9 | 3.088 | 19 |
| 1 3 2 | 30.2 | 2.958 | 100 |
| 1 7 1 | 30.3 | 2.947 | 67 |
| 0 10 1 | 32.6 | 2.750 | 24 |
| 1 9 0 | 33.2 | 2.699 | 27 |
| 0 4 3 | 35.5 | 2.530 | 30 |
| 2 0 0 | 37.1 | 2.422 | 55 |
| 1 9 2 | 40.2 | 2.245 | 38 |
| 2 4 3 | 52.3 | 1.750 | 20 |
| 1 13 3 | 56.6 | 1.627 | 30 |